Record 1
The following is a theoretical powder X-ray diffraction pattern of La3Nd3Tl2Ga. It was derived from DFT lattice parameters and positions (GGA-PBE), using Cu Kα (weighted mean of Kα1 and Kα2).
Kinematic intensities with the Lorentz-polarization factor, no thermal factor.

Atomic structure:
```
data_La3Nd3Tl2Ga
_chemical_formula_sum 'La3 Nd3 Tl2 Ga1'
_cell_length_a 9.1705
_cell_length_b 9.1705
_cell_length_c 3.9091
_cell_angle_alpha 90.00
_cell_angle_beta 90.00
_cell_angle_gamma 120.00
_space_group_name_H-M_alt 'P -6 2 m'
_space_group_IT_number 189
_space_group_name_Hall 'P -6 -2'
loop_
_atom_site_label
_atom_site_fract_x
_atom_site_fract_y
_atom_site_fract_z
La1 0.0000 0.7336 0.0000
Nd1 0.0000 0.3922 0.5000
Tl1 0.3333 0.6667 0.0000
Ga1 0.0000 0.0000 0.5000
```

Principal peaks in the range 2θ = 5–70°, sorted by position:
| 2θ (°) | d [Å] | I_rel | hkl |
| --- | --- | --- | --- |
| 29.76 | 3.002 | 47 | 2 1 0 |
| 30.04 | 2.975 | 100 | 1 1 1 |
| 32.13 | 2.786 | 61 | 2 0 1 |
| 33.86 | 2.647 | 66 | 3 0 0 |
| 37.79 | 2.381 | 28 | 2 1 1 |
| 46.46 | 1.955 | 17 | 0 0 2 |
| 55.66 | 1.651 | 35 | 3 2 1 |
| 58.72 | 1.572 | 27 | 3 0 2 |

***

Record 2
The following is a theoretical powder X-ray diffraction pattern of LaGa4Ni6. It was derived from DFT lattice parameters and positions (GGA-PBE), using Cu Kα (weighted mean of Kα1 and Kα2).
Kinematic intensities with the Lorentz-polarization factor, no thermal factor.

Atomic structure:
```
data_LaGa4Ni6
_chemical_formula_sum 'La1 Ga4 Ni6'
_cell_length_a 6.8835
_cell_length_b 6.8835
_cell_length_c 3.8836
_cell_angle_alpha 90.00
_cell_angle_beta 90.00
_cell_angle_gamma 120.00
_space_group_name_H-M_alt 'P -6 m 2'
_space_group_IT_number 187
_space_group_name_Hall 'P -6 2'
loop_
_atom_site_label
_atom_site_fract_x
_atom_site_fract_y
_atom_site_fract_z
La1 0.0000 0.0000 0.0000
Ga1 0.2011 0.4023 0.5000
Ga2 0.6667 0.3333 0.0000
Ni1 0.0712 0.5356 0.0000
Ni2 0.4174 0.2087 0.5000
```

Principal peaks in the range 2θ = 5–70°, sorted by position:
| 2θ (°) | d [Å] | I_rel | hkl |
| --- | --- | --- | --- |
| 34.83 | 2.576 | 40 | 1 1 1 |
| 38.06 | 2.365 | 100 | 2 0 1 |
| 40.02 | 2.253 | 47 | 2 1 0 |
| 46.60 | 1.949 | 36 | 2 1 1 |
| 46.78 | 1.942 | 32 | 0 0 2 |
| 51.67 | 1.769 | 26 | 3 0 1 |
| 53.23 | 1.721 | 23 | 2 2 0 |
| 63.22 | 1.471 | 23 | 2 1 2 |

***

Record 3
The following is a theoretical powder X-ray diffraction pattern of La2Ga5Ni5. It was derived from DFT lattice parameters and positions (GGA-PBE), using Cu Kα (weighted mean of Kα1 and Kα2).
Kinematic intensities with the Lorentz-polarization factor, no thermal factor.

Atomic structure:
```
data_La2Ga5Ni5
_chemical_formula_sum 'La4 Ga10 Ni10'
_cell_length_a 5.2134
_cell_length_b 9.7141
_cell_length_c 8.0690
_cell_angle_alpha 90.00
_cell_angle_beta 90.00
_cell_angle_gamma 90.00
_space_group_name_H-M_alt 'A m m 2'
_space_group_IT_number 38
_space_group_name_Hall 'A 2 -2'
loop_
_atom_site_label
_atom_site_fract_x
_atom_site_fract_y
_atom_site_fract_z
La1 0.0000 0.0000 0.0000
La2 0.5000 0.0000 0.3890
Ga1 0.0000 0.0000 0.6042
Ga2 0.2560 0.2256 0.6958
Ni1 0.0000 0.1978 0.4277
Ni2 0.5000 0.0000 0.7463
Ni3 0.5000 0.1815 0.9640
```

Principal peaks in the range 2θ = 5–70°, sorted by position:
| 2θ (°) | d [Å] | I_rel | hkl |
| --- | --- | --- | --- |
| 33.61 | 2.667 | 51 | 1 2 2 |
| 34.44 | 2.604 | 100 | 1 3 1 |
| 34.60 | 2.592 | 26 | 0 1 3 |
| 37.02 | 2.429 | 41 | 0 4 0 |
| 39.22 | 2.297 | 40 | 2 2 0 |
| 41.23 | 2.189 | 62 | 2 0 2 |
| 47.27 | 1.923 | 43 | 1 3 3 |
| 61.69 | 1.504 | 23 | 0 6 2 |

***

Record 4
The following is a theoretical powder X-ray diffraction pattern of La2Ga3Ni. It was derived from DFT lattice parameters and positions (GGA-PBE), using Cu Kα (weighted mean of Kα1 and Kα2).
Kinematic intensities with the Lorentz-polarization factor, no thermal factor.

Atomic structure:
```
data_La2Ga3Ni
_chemical_formula_sum 'La4 Ga6 Ni2'
_cell_length_a 10.5330
_cell_length_b 4.5808
_cell_length_c 7.4826
_cell_angle_alpha 90.00
_cell_angle_beta 133.71
_cell_angle_gamma 90.00
_space_group_name_H-M_alt 'C 1 m 1'
_space_group_IT_number 8
_space_group_name_Hall 'C -2y'
loop_
_atom_site_label
_atom_site_fract_x
_atom_site_fract_y
_atom_site_fract_z
La1 0.0000 0.0000 0.0000
La2 0.0028 0.5000 0.4059
Ga1 0.1845 0.0000 0.8091
Ga2 0.2982 0.5000 0.3886
Ga3 0.3228 0.0000 0.6078
Ni1 0.1799 0.5000 0.9601
```

Principal peaks in the range 2θ = 5–70°, sorted by position:
| 2θ (°) | d [Å] | I_rel | hkl |
| --- | --- | --- | --- |
| 32.62 | 2.746 | 97 | 1 1 1 |
| 32.85 | 2.726 | 32 | 1 1 -2 |
| 33.10 | 2.707 | 100 | 3 1 -1 |
| 33.32 | 2.689 | 48 | 3 1 -2 |
| 34.05 | 2.633 | 29 | 4 0 -2 |
| 37.71 | 2.385 | 35 | 4 0 -1 |
| 39.34 | 2.290 | 60 | 0 2 0 |
| 41.22 | 2.190 | 66 | 3 1 -3 |

***

Record 5
The following is a theoretical powder X-ray diffraction pattern of La2Ga9Ni3. It was derived from DFT lattice parameters and positions (GGA-PBE), using Cu Kα (weighted mean of Kα1 and Kα2).
Kinematic intensities with the Lorentz-polarization factor, no thermal factor.

Atomic structure:
```
data_La2Ga9Ni3
_chemical_formula_sum 'La8 Ga36 Ni12'
_cell_length_a 13.1597
_cell_length_b 7.5957
_cell_length_c 10.6484
_cell_angle_alpha 90.00
_cell_angle_beta 114.28
_cell_angle_gamma 90.00
_space_group_name_H-M_alt 'C 1 2/c 1'
_space_group_IT_number 15
_space_group_name_Hall '-C 2yc'
loop_
_atom_site_label
_atom_site_fract_x
_atom_site_fract_y
_atom_site_fract_z
La1 0.1675 0.0834 0.2513
Ga1 0.0000 0.3761 0.2500
Ga2 0.0606 0.0875 0.9312
Ga3 0.1002 0.4167 0.0524
Ga4 0.1033 0.3151 0.7483
Ga5 0.2240 0.4196 0.4297
Ni1 0.0842 0.2476 0.5012
Ni2 0.2500 0.2500 0.0000
```

Principal peaks in the range 2θ = 5–70°, sorted by position:
| 2θ (°) | d [Å] | I_rel | hkl |
| --- | --- | --- | --- |
| 25.18 | 3.537 | 10 | 0 2 1 |
| 36.26 | 2.478 | 10 | 4 2 -1 |
| 36.48 | 2.463 | 100 | 0 2 3 |
| 37.05 | 2.427 | 19 | 0 0 4 |
| 41.16 | 2.193 | 71 | 6 0 -2 |
| 45.38 | 1.998 | 9 | 6 0 -4 |
| 56.16 | 1.638 | 14 | 6 2 -5 |
| 56.57 | 1.627 | 12 | 6 0 -6 |

***

Record 6
The following is a theoretical powder X-ray diffraction pattern of LaGa6Ni2. It was derived from DFT lattice parameters and positions (GGA-PBE), using Cu Kα (weighted mean of Kα1 and Kα2).
Kinematic intensities with the Lorentz-polarization factor, no thermal factor.

Atomic structure:
Cell lengths 11.5696, 11.5696, 11.5696 Å; angles 90.00, 90.00, 90.00 degrees
Space group Fd-3m (No. 227, origin choice 2)
Asymmetric unit:
La 0.1250 0.1250 0.1250 [8 per cell]
Ga 0.1015 0.3750 0.8750 [48 per cell]
Ni 0.0000 0.0000 0.5000 [16 per cell]

Principal peaks in the range 2θ = 5–70°, sorted by position:
| 2θ (°) | d [Å] | I_rel | hkl |
| --- | --- | --- | --- |
| 25.54 | 3.488 | 64 | 3 1 1 |
| 30.92 | 2.892 | 56 | 4 0 0 |
| 33.77 | 2.654 | 11 | 3 3 1 |
| 40.51 | 2.227 | 20 | 3 3 3 |
| 44.29 | 2.045 | 100 | 4 4 0 |
| 54.99 | 1.670 | 11 | 4 4 4 |
| 61.57 | 1.506 | 27 | 7 3 1 |
| 64.43 | 1.446 | 14 | 8 0 0 |

***

Record 7
The following is a theoretical powder X-ray diffraction pattern of La2Ga3Ni12Pd. It was derived from DFT lattice parameters and positions (GGA-PBE), using Cu Kα (weighted mean of Kα1 and Kα2).
Kinematic intensities with the Lorentz-polarization factor, no thermal factor.

Atomic structure:
```
data_La2Ga3Ni12Pd
_chemical_formula_sum 'La6 Ga9 Ni36 Pd3'
_cell_length_a 8.5967
_cell_length_b 8.5967
_cell_length_c 12.1732
_cell_angle_alpha 90.00
_cell_angle_beta 90.00
_cell_angle_gamma 120.00
_space_group_name_H-M_alt 'R -3 m'
_space_group_IT_number 166
_space_group_name_Hall '-R 3 2"'
loop_
_atom_site_label
_atom_site_fract_x
_atom_site_fract_y
_atom_site_fract_z
La1 0.0000 0.0000 0.1625
Ga1 0.0000 0.5000 0.0000
Ni1 0.0035 0.5018 0.6065
Ni2 0.0069 0.5035 0.2006
Pd1 0.0000 0.0000 0.5000
```

Principal peaks in the range 2θ = 5–70°, sorted by position:
| 2θ (°) | d [Å] | I_rel | hkl |
| --- | --- | --- | --- |
| 21.90 | 4.058 | 9 | 0 0 3 |
| 30.29 | 2.951 | 42 | 1 1 3 |
| 42.04 | 2.149 | 100 | 2 2 0 |
| 42.71 | 2.117 | 17 | 0 3 3 |
| 44.46 | 2.038 | 43 | 2 0 5 |
| 49.69 | 1.835 | 8 | 1 1 6 |
| 61.48 | 1.508 | 11 | 4 1 3 |
| 62.85 | 1.479 | 15 | 0 4 5 |

***

Record 8
The following is a theoretical powder X-ray diffraction pattern of LaGaSiNi3. It was derived from DFT lattice parameters and positions (GGA-PBE), using Cu Kα (weighted mean of Kα1 and Kα2).
Kinematic intensities with the Lorentz-polarization factor, no thermal factor.

Atomic structure:
```
data_LaGaSiNi3
_chemical_formula_sum 'La4 Ga4 Si4 Ni12'
_cell_length_a 6.3118
_cell_length_b 11.6346
_cell_length_c 5.5625
_cell_angle_alpha 90.00
_cell_angle_beta 90.00
_cell_angle_gamma 90.00
_space_group_name_H-M_alt 'C m c m'
_space_group_IT_number 63
_space_group_name_Hall '-C 2c 2'
loop_
_atom_site_label
_atom_site_fract_x
_atom_site_fract_y
_atom_site_fract_z
La1 0.0000 0.2229 0.2500
Ga1 0.0000 0.4889 0.2500
Si1 0.0000 0.1149 0.7500
Ni1 0.0000 0.3084 0.7500
Ni2 0.1978 0.0000 0.0000
```

Principal peaks in the range 2θ = 5–70°, sorted by position:
| 2θ (°) | d [Å] | I_rel | hkl |
| --- | --- | --- | --- |
| 28.28 | 3.156 | 39 | 2 0 0 |
| 30.74 | 2.909 | 65 | 0 4 0 |
| 32.25 | 2.776 | 79 | 2 2 0 |
| 34.81 | 2.578 | 36 | 0 4 1 |
| 35.79 | 2.509 | 56 | 0 2 2 |
| 43.37 | 2.087 | 100 | 2 0 2 |
| 45.43 | 1.996 | 33 | 2 4 1 |
| 54.09 | 1.695 | 42 | 2 4 2 |

***

Record 9
The following is a theoretical powder X-ray diffraction pattern of La3Ga2SiNi6. It was derived from DFT lattice parameters and positions (GGA-PBE), using Cu Kα (weighted mean of Kα1 and Kα2).
Kinematic intensities with the Lorentz-polarization factor, no thermal factor.

Atomic structure:
```
data_La3Ga2SiNi6
_chemical_formula_sum 'La3 Ga2 Si1 Ni6'
_cell_length_a 4.9557
_cell_length_b 4.9557
_cell_length_c 10.0916
_cell_angle_alpha 90.00
_cell_angle_beta 90.00
_cell_angle_gamma 120.00
_space_group_name_H-M_alt 'P -3 m 1'
_space_group_IT_number 164
_space_group_name_Hall '-P 3 2"'
loop_
_atom_site_label
_atom_site_fract_x
_atom_site_fract_y
_atom_site_fract_z
La1 0.0000 0.0000 0.0000
La2 0.3333 0.6667 0.8319
Ga1 0.3333 0.6667 0.5348
Si1 0.0000 0.0000 0.5000
Ni1 0.1678 0.3357 0.3233
```

Principal peaks in the range 2θ = 5–70°, sorted by position:
| 2θ (°) | d [Å] | I_rel | hkl |
| --- | --- | --- | --- |
| 22.51 | 3.949 | 40 | 1 0 1 |
| 27.28 | 3.269 | 80 | 1 0 2 |
| 33.86 | 2.648 | 85 | 1 0 3 |
| 36.25 | 2.478 | 52 | 1 1 0 |
| 41.52 | 2.175 | 69 | 0 1 4 |
| 43.10 | 2.099 | 100 | 0 2 1 |
| 45.46 | 1.995 | 44 | 1 1 3 |
| 68.81 | 1.364 | 29 | 1 2 4 |

***

Record 10
The following is a theoretical powder X-ray diffraction pattern of LaZn2Ga4Ni. It was derived from DFT lattice parameters and positions (GGA-PBE), using Cu Kα (weighted mean of Kα1 and Kα2).
Kinematic intensities with the Lorentz-polarization factor, no thermal factor.

Atomic structure:
```
data_LaZn2Ga4Ni
_chemical_formula_sum 'La3 Zn6 Ga12 Ni3'
_cell_length_a 4.3227
_cell_length_b 4.3227
_cell_length_c 26.8137
_cell_angle_alpha 90.00
_cell_angle_beta 90.00
_cell_angle_gamma 120.00
_space_group_name_H-M_alt 'R -3 m'
_space_group_IT_number 166
_space_group_name_Hall '-R 3 2"'
loop_
_atom_site_label
_atom_site_fract_x
_atom_site_fract_y
_atom_site_fract_z
La1 0.0000 0.0000 0.0000
Zn1 0.0000 0.0000 0.2473
Ga1 0.0000 0.0000 0.1362
Ga2 0.0000 0.0000 0.4054
Ni1 0.0000 0.0000 0.5000
```

Principal peaks in the range 2θ = 5–70°, sorted by position:
| 2θ (°) | d [Å] | I_rel | hkl |
| --- | --- | --- | --- |
| 29.09 | 3.070 | 18 | 0 1 5 |
| 33.47 | 2.677 | 34 | 1 0 7 |
| 35.96 | 2.497 | 84 | 0 1 8 |
| 41.79 | 2.161 | 100 | 1 1 0 |
| 44.35 | 2.043 | 12 | 0 1 11 |
| 56.29 | 1.634 | 22 | 2 0 8 |
| 59.50 | 1.554 | 19 | 1 1 12 |
| 68.06 | 1.377 | 11 | 1 1 15 |

***

Record 11
The following is a theoretical powder X-ray diffraction pattern of LaZn2GaNi2. It was derived from DFT lattice parameters and positions (GGA-PBE), using Cu Kα (weighted mean of Kα1 and Kα2).
Kinematic intensities with the Lorentz-polarization factor, no thermal factor.

Atomic structure:
```
data_LaZn2GaNi2
_chemical_formula_sum 'La1 Zn2 Ga1 Ni2'
_cell_length_a 4.4238
_cell_length_b 4.4238
_cell_length_c 5.8041
_cell_angle_alpha 90.00
_cell_angle_beta 90.00
_cell_angle_gamma 90.00
_space_group_name_H-M_alt 'P 4/m m m'
_space_group_IT_number 123
_space_group_name_Hall '-P 4 2'
loop_
_atom_site_label
_atom_site_fract_x
_atom_site_fract_y
_atom_site_fract_z
La1 0.0000 0.0000 0.0000
Zn1 0.5000 0.5000 0.2570
Ga1 0.0000 0.0000 0.5000
Ni1 0.0000 0.5000 0.5000
```

Principal peaks in the range 2θ = 5–70°, sorted by position:
| 2θ (°) | d [Å] | I_rel | hkl |
| --- | --- | --- | --- |
| 28.53 | 3.128 | 40 | 1 1 0 |
| 30.81 | 2.902 | 13 | 0 0 2 |
| 32.52 | 2.754 | 40 | 1 1 1 |
| 37.05 | 2.427 | 100 | 1 0 2 |
| 40.80 | 2.212 | 72 | 2 0 0 |
| 51.98 | 1.759 | 12 | 2 0 2 |
| 56.28 | 1.635 | 58 | 2 1 2 |
| 59.06 | 1.564 | 23 | 2 2 0 |

***

Record 12
The following is a theoretical powder X-ray diffraction pattern of La3GaO2. It was derived from DFT lattice parameters and positions (GGA-PBE), using Cu Kα (weighted mean of Kα1 and Kα2).
Kinematic intensities with the Lorentz-polarization factor, no thermal factor.

Atomic structure:
```
data_La3GaO2
_chemical_formula_sum 'La12 Ga4 O8'
_cell_length_a 9.2782
_cell_length_b 12.0035
_cell_length_c 5.6612
_cell_angle_alpha 90.00
_cell_angle_beta 90.00
_cell_angle_gamma 90.00
_space_group_name_H-M_alt 'C m c m'
_space_group_IT_number 63
_space_group_name_Hall '-C 2c 2'
loop_
_atom_site_label
_atom_site_fract_x
_atom_site_fract_y
_atom_site_fract_z
La1 0.0000 0.1012 0.2500
La2 0.2017 0.3902 0.2500
Ga1 0.0000 0.3057 0.7500
O1 0.1598 0.0000 0.0000
```

Principal peaks in the range 2θ = 5–70°, sorted by position:
| 2θ (°) | d [Å] | I_rel | hkl |
| --- | --- | --- | --- |
| 28.99 | 3.080 | 100 | 2 2 1 |
| 29.80 | 2.998 | 21 | 0 4 0 |
| 31.61 | 2.831 | 19 | 0 0 2 |
| 44.00 | 2.058 | 23 | 0 4 2 |
| 47.97 | 1.896 | 11 | 3 5 0 |
| 54.69 | 1.678 | 17 | 2 2 3 |
| 57.05 | 1.614 | 16 | 5 3 1 |
| 58.59 | 1.576 | 9 | 3 5 2 |